Diffraction record for RhO2. The PXRD pattern is simulated, not measured: it uses the PBE geometry in the Materials Project and Cu Kα, 1.54184 Å.
Lines closer than 0.1° are merged.

Principal peaks in the range 10° ≤ 2θ ≤ 90°, in order of rising 2θ:
- d = 3.223 Å, 27.68°, I = 100, (1 1 0)
- d = 2.581 Å, 34.75°, I = 79, (1 0 1)
- d = 2.279 Å, 39.55°, I = 21, (2 0 0)
- d = 1.708 Å, 53.65°, I = 65, (2 1 1)
- d = 1.611 Å, 57.17°, I = 15, (2 2 0)
- d = 1.441 Å, 64.67°, I = 14, (3 1 0)
- d = 1.409 Å, 66.37°, I = 16, (1 1 2)
- d = 1.367 Å, 68.67°, I = 19, (3 0 1)

Crystal structure
Lattice parameters (Å, degrees): 4.5576 4.5576 3.1320 90.00 90.00 90.00
Space group P4_2/mnm (No. 136)
One atom of each set of equivalent atoms:
1 Rh 0.0000 0.0000 0.0000 [2 per cell]
2 O 0.1931 0.1931 0.5000 [4 per cell]